Starting from a PBE-relaxed structure, the powder diffractogram of BaLiSb was simulated for Cu Kα (weighted mean of Kα1 and Kα2).
Peak positions follow from Bragg's law for the DFT cell and can differ from measured ones.

Structural model:
```
BaLiSb
1.0
4.942 0.000 0.000
-2.471 4.280 0.000
0.000 0.000 9.201
Ba Li Sb
2 2 2
direct
0.000 0.000 0.000
0.000 0.000 0.500
0.333 0.667 0.250
0.667 0.333 0.750
0.333 0.667 0.750
0.667 0.333 0.250
```

Top 10 peaks for 2θ from 10° to 80°, in order of rising 2θ:
hkl  two_theta  I/Imax
1 0 0  20.75  13.3
1 0 1  22.92  45.7
1 0 2  28.48  100.0
1 0 3  36.03  14.2
1 1 0  36.36  45.6
0 0 4  39.17  12.3
2 0 2  46.82  25.1
1 1 4  54.50  28.0
2 1 2  60.68  23.1
1 0 6  64.56  9.6